[1]
This entry pairs a crystal structure of NdPt5Pb with its theoretical powder diffraction line list. Radiation: Cu Kα X-rays. Structure: DFT lattice parameters and positions (GGA-PBE).

The 8 most intense peaks (2θ = 10–80°), low angle first:
d/Å, Rel. int., index
2.561, 957, 3 1 1
2.538, 1000, 2 1 3
2.276, 843, 2 2 1
2.212, 697, 4 0 1
2.175, 693, 2 1 4
2.168, 766, 1 0 5
2.146, 584, 2 2 2
2.130, 769, 1 2 3

Crystal structure
Lattice parameters (Å, degrees): 9.0285 5.4240 11.1664 90.00 90.00 90.00
Space group Pnma (No. 62)
Inequivalent atoms, fractional coordinates:
Nd 0.2479 0.2500 0.0650 (multiplicity 4)
Pt 0.0388 0.2500 0.5872 (multiplicity 4)
Pt 0.0687 0.5030 0.8001 (multiplicity 8)
Pt 0.0726 0.7500 0.0107 (multiplicity 4)
Pt 0.1897 0.7500 0.2337 (multiplicity 4)
Pb 0.1459 0.2500 0.3612 (multiplicity 4)


[2]
This entry pairs a crystal structure of NdPu3Pb4 with its theoretical powder diffraction line list. Radiation: Cu Kα X-rays. Structure: DFT lattice parameters and positions (GGA-PBE).

The 8 most intense peaks (2θ = 10–80°), low angle first:
d/Å, Rel. int., index
2.801, 1000, 1 1 2
2.477, 176, 0 0 4
2.459, 177, 0 2 0
2.347, 156, 2 0 0
1.745, 125, 0 2 4
1.485, 144, 1 1 6
1.477, 150, 1 3 2
1.428, 134, 3 1 2

Crystal structure
Lattice parameters (Å, degrees): 4.6949 4.9181 9.9069 90.00 90.00 90.00
Space group Pmmm (No. 47)
Inequivalent atoms, fractional coordinates:
Nd 0.0000 0.0000 0.0000 (multiplicity 1)
Pu 0.0000 0.0000 0.5000 (multiplicity 1)
Pu 0.0000 0.5000 0.2624 (multiplicity 2)
Pb 0.5000 0.0000 0.2514 (multiplicity 2)
Pb 0.5000 0.5000 0.0000 (multiplicity 1)
Pb 0.5000 0.5000 0.5000 (multiplicity 1)


[3]
This entry pairs a crystal structure of Nd5PuPb5 with its theoretical powder diffraction line list. Radiation: Cu Kα X-rays. Structure: DFT lattice parameters and positions (GGA-PBE).

The 8 most intense peaks (2θ = 10–80°), low angle first:
d/Å, Rel. int., index
3.206, 1000, 0 2 0
3.194, 495, 2 0 2
2.290, 200, 6 0 0
2.265, 781, 2 2 2
2.235, 188, 2 0 -4
1.864, 217, 6 2 0
1.834, 208, 2 2 -4
1.434, 190, 4 4 -2

Crystal structure
Lattice parameters (Å, degrees): 14.4664 6.4129 8.9400 90.00 108.20 90.00
Space group C2/m (No. 12)
Inequivalent atoms, fractional coordinates:
Nd 0.0000 0.0000 0.0000 (multiplicity 2)
Nd 0.1658 0.5000 0.3282 (multiplicity 4)
Nd 0.1687 0.5000 0.8357 (multiplicity 4)
Pu 0.0000 0.0000 0.5000 (multiplicity 2)
Pb 0.0000 0.5000 0.5000 (multiplicity 2)
Pb 0.1624 0.0000 0.8305 (multiplicity 4)
Pb 0.1628 0.0000 0.3349 (multiplicity 4)


[4]
This entry pairs a crystal structure of Nd3Rh4Pb4 with its theoretical powder diffraction line list. Radiation: Cu Kα X-rays. Structure: DFT lattice parameters and positions (GGA-PBE).

The 8 most intense peaks (2θ = 10–80°), low angle first:
d/Å, Rel. int., index
2.862, 254, 0 1 5
2.845, 1000, 1 2 1
2.689, 637, 1 1 4
2.561, 246, 0 0 6
2.521, 428, 1 2 3
2.329, 383, 0 3 3
2.145, 826, 2 0 0
1.578, 232, 2 3 3

Crystal structure
Lattice parameters (Å, degrees): 4.2915 7.8453 15.3677 90.00 90.00 90.00
Space group Immm (No. 71)
Inequivalent atoms, fractional coordinates:
Nd 0.0000 0.0000 0.0000 (multiplicity 2)
Nd 0.0000 0.5000 0.1166 (multiplicity 4)
Rh 0.0000 0.0000 0.2174 (multiplicity 4)
Rh 0.0000 0.1866 0.5000 (multiplicity 4)
Pb 0.0000 0.2966 0.3313 (multiplicity 8)